Entry 1:
# Dy5Zn6
Computed powder diffractogram, Cu Kα, 1.54184 Å. Input: a GGA-PBE-relaxed structure.
Kinematic intensities with the Lorentz-polarization factor, no thermal factor.

Atomic structure:
```
Dy5Zn6
1.0
-2.481 3.549 7.447
2.481 -3.549 7.447
2.481 3.549 -7.447
Dy Zn
5 6
Cartesian
0.000 0.000 0.000
2.481 0.000 2.547
0.000 0.000 5.127
0.000 0.000 9.767
0.000 3.549 4.900
2.481 -1.724 5.034
2.481 1.674 0.000
0.000 1.825 2.413
2.481 1.724 5.034
0.000 1.875 7.447
0.000 5.272 2.413
```

Largest 10 diffraction maxima, sorted by position, 2θ = 15–90°:
24.95 deg, I 7
25.38 deg, I 11
35.99 deg, I 100
36.20 deg, I 49
51.51 deg, I 9
52.12 deg, I 17
64.57 deg, I 17
64.97 deg, I 33
76.32 deg, I 10
86.91 deg, I 8


Entry 2:
# Dy4Zn
Computed powder diffractogram, Cu Kα, 1.54184 Å. Input: a GGA-PBE-relaxed structure.
Kinematic intensities with the Lorentz-polarization factor, no thermal factor.

Atomic structure:
```
Dy4Zn
1.0
5.450 0.000 0.000
0.000 5.450 0.000
0.000 0.000 5.450
Dy Zn
4 1
Cartesian
0.000 0.000 0.000
0.000 2.725 2.725
2.725 0.000 2.725
2.725 2.725 0.000
2.725 2.725 2.725
```

Largest 10 diffraction maxima, sorted by position, 2θ = 15–90°:
16.26 deg, I 5
28.36 deg, I 100
32.87 deg, I 80
47.17 deg, I 59
55.96 deg, I 46
58.68 deg, I 20
68.92 deg, I 9
76.13 deg, I 19
78.48 deg, I 26
87.73 deg, I 20


Entry 3:
# DyZn2
Computed powder diffractogram, Cu Kα, 1.54184 Å. Input: a GGA-PBE-relaxed structure.
Kinematic intensities with the Lorentz-polarization factor, no thermal factor.

Atomic structure:
```
DyZn2
1.0
3.269 0.000 0.000
0.000 3.269 0.000
0.000 0.000 11.140
Dy Zn
2 4
Cartesian
0.000 0.000 0.000
1.635 1.635 5.570
0.000 0.000 3.514
0.000 0.000 7.627
1.635 1.635 2.056
1.635 1.635 9.084
```

Largest 10 diffraction maxima, sorted by position, 2θ = 15–90°:
28.45 deg, I 23
32.14 deg, I 9
36.62 deg, I 100
38.96 deg, I 44
49.07 deg, I 9
51.36 deg, I 10
56.27 deg, I 15
64.35 deg, I 16
69.03 deg, I 30
77.85 deg, I 9


Entry 4:
# DyZr2Zn9
Computed powder diffractogram, Cu Kα, 1.54184 Å. Input: a GGA-PBE-relaxed structure.
Kinematic intensities with the Lorentz-polarization factor, no thermal factor.

Atomic structure:
```
DyZr2Zn9
1.0
2.648 1.529 8.394
-2.648 1.529 8.394
0.000 -3.057 8.394
Dy Zr Zn
1 2 9
Cartesian
0.000 0.000 0.000
0.000 0.000 3.619
0.000 0.000 21.563
-1.354 -0.782 10.538
0.000 0.000 8.445
0.000 -1.564 14.644
-1.354 0.782 14.644
0.000 0.000 12.591
1.354 -0.782 10.538
0.000 1.564 10.538
0.000 0.000 16.738
1.354 0.782 14.644
```

Largest 10 diffraction maxima, sorted by position, 2θ = 15–90°:
31.61 deg, I 22
33.86 deg, I 35
34.56 deg, I 24
39.46 deg, I 33
40.27 deg, I 100
43.11 deg, I 20
43.36 deg, I 15
64.92 deg, I 23
71.23 deg, I 21
87.03 deg, I 14


Entry 5:
# Dy3Zr2Zn2
Computed powder diffractogram, Cu Kα, 1.54184 Å. Input: a GGA-PBE-relaxed structure.
Kinematic intensities with the Lorentz-polarization factor, no thermal factor.

Atomic structure:
```
Dy3Zr2Zn2
1.0
4.573 0.000 0.000
0.000 22.353 0.000
0.000 0.000 3.306
Dy Zr Zn
6 4 4
Cartesian
0.000 0.000 0.000
0.000 3.208 0.000
0.000 19.145 0.000
2.286 7.969 0.000
2.286 11.176 0.000
2.286 14.384 0.000
0.000 6.410 1.653
0.000 15.942 1.653
2.286 4.766 1.653
2.286 17.587 1.653
0.000 9.547 1.653
0.000 12.806 1.653
2.286 1.629 1.653
2.286 20.724 1.653
```

Largest 10 diffraction maxima, sorted by position, 2θ = 15–90°:
19.82 deg, I 21
33.69 deg, I 90
34.25 deg, I 100
36.33 deg, I 37
39.41 deg, I 34
42.35 deg, I 23
54.67 deg, I 22
59.23 deg, I 17
64.38 deg, I 14
66.94 deg, I 28


Entry 6:
# Er
Computed powder diffractogram, Cu Kα, 1.54184 Å. Input: a GGA-PBE-relaxed structure.
Kinematic intensities with the Lorentz-polarization factor, no thermal factor.

Atomic structure:
```
Er
1.0
3.515 0.000 0.000
-1.758 3.044 0.000
0.000 0.000 11.290
Er
4
Cartesian
0.000 0.000 0.000
0.000 0.000 5.645
0.000 2.030 2.823
1.758 1.015 8.468
```

Largest 10 diffraction maxima, sorted by position, 2θ = 15–90°:
30.41 deg, I 43
31.70 deg, I 34
33.44 deg, I 100
38.02 deg, I 24
52.03 deg, I 26
57.58 deg, I 21
62.22 deg, I 30
63.27 deg, I 16
86.27 deg, I 14
88.94 deg, I 16